# 1
For Th5Sb4Pb, a GGA-PBE-relaxed structure gives the calculated powder diffractogram in this record (copper Kα).
Neutral-atom scattering factors, no anomalous dispersion.

Top 8 peaks for 2θ = 10–90°, in order of rising 2θ:
Position (°2θ)	d [Å]	I (rel.)
24.10	3.693	11
27.90	3.198	100
39.87	2.261	78
49.36	1.846	28
57.65	1.599	13
65.24	1.430	37
72.38	1.306	28
85.97	1.131	9

Crystal structure
abc: 7.8342 7.8342 7.8342
angles: 99.58 99.58 131.84
Fractional positions:
Th  0.0000  0.0000  0.0000
Th  0.1975  0.3993  0.5968
Th  0.3993  0.8025  0.2018
Th  0.6007  0.1975  0.7982
Th  0.8025  0.6007  0.4032
Sb  0.1011  0.7004  0.8014
Sb  0.2996  0.1011  0.4007
Sb  0.7004  0.8989  0.5993
Sb  0.8989  0.2996  0.1986
Pb  0.5000  0.5000  0.0000


# 2
For Ti12Sb3Pb, a GGA-PBE-relaxed structure gives the calculated powder diffractogram in this record (copper Kα).
Neutral-atom scattering factors, no anomalous dispersion.

Top 8 peaks for 2θ = 10–90°, in order of rising 2θ:
Position (°2θ)	d [Å]	I (rel.)
24.05	3.700	54
34.25	2.618	30
34.32	2.613	15
38.47	2.340	31
42.31	2.136	100
66.89	1.399	33
66.97	1.397	17
87.43	1.116	12

Crystal structure
abc: 5.2252 5.2295 10.4837
angles: 90.00 90.00 90.00
Fractional positions:
Ti  0.0000  0.0000  0.1247
Ti  0.0000  0.0000  0.3742
Ti  0.0000  0.0000  0.6258
Ti  0.0000  0.0000  0.8753
Ti  0.2500  0.5000  0.2539
Ti  0.2500  0.5000  0.7461
Ti  0.5000  0.2468  0.0000
Ti  0.5000  0.2500  0.5000
Ti  0.5000  0.7500  0.5000
Ti  0.5000  0.7532  0.0000
Ti  0.7500  0.5000  0.2539
Ti  0.7500  0.5000  0.7461
Sb  0.0000  0.5000  0.5000
Sb  0.5000  0.0000  0.2505
Sb  0.5000  0.0000  0.7495
Pb  0.0000  0.5000  0.0000


# 3
For Tl3SbPb2, a GGA-PBE-relaxed structure gives the calculated powder diffractogram in this record (copper Kα).
Neutral-atom scattering factors, no anomalous dispersion.

Top 8 peaks for 2θ = 10–90°, in order of rising 2θ:
Position (°2θ)	d [Å]	I (rel.)
27.94	3.193	57
28.21	3.163	40
30.19	2.960	84
30.79	2.904	44
31.12	2.874	100
35.37	2.538	84
35.86	2.504	73
49.06	1.857	29

Crystal structure
abc: 7.6196 7.6196 6.8808
angles: 90.00 90.00 99.34
Fractional positions:
Tl  0.0590  0.9410  0.7500
Tl  0.0746  0.5866  0.2500
Tl  0.4134  0.9254  0.2500
Tl  0.5866  0.0746  0.7500
Tl  0.9254  0.4134  0.7500
Tl  0.9410  0.0590  0.2500
Sb  0.3365  0.6635  0.7500
Sb  0.6635  0.3365  0.2500
Pb  0.3031  0.3031  0.0000
Pb  0.3031  0.3031  0.5000
Pb  0.6969  0.6969  0.0000
Pb  0.6969  0.6969  0.5000


# 4
For Tl6Sb2Pb, a GGA-PBE-relaxed structure gives the calculated powder diffractogram in this record (copper Kα).
Neutral-atom scattering factors, no anomalous dispersion.

Top 8 peaks for 2θ = 10–90°, in order of rising 2θ:
Position (°2θ)	d [Å]	I (rel.)
30.91	2.893	100
31.36	2.852	96
34.36	2.610	38
35.85	2.505	33
38.04	2.366	29
52.18	1.753	23
53.26	1.720	22
64.37	1.447	25

Crystal structure
abc: 6.3032 6.3032 10.7332
angles: 108.64 108.64 44.09
Fractional positions:
Tl  0.0033  0.0033  0.3255
Tl  0.3291  0.3291  0.4377
Tl  0.3320  0.3320  0.1089
Tl  0.6680  0.6680  0.8911
Tl  0.6709  0.6709  0.5623
Tl  0.9967  0.9967  0.6745
Sb  0.3371  0.3371  0.7829
Sb  0.6629  0.6629  0.2171
Pb  0.0000  0.0000  0.0000


# 5
For TlSb4Pb6, a GGA-PBE-relaxed structure gives the calculated powder diffractogram in this record (copper Kα).
Neutral-atom scattering factors, no anomalous dispersion.

Top 8 peaks for 2θ = 10–90°, in order of rising 2θ:
Position (°2θ)	d [Å]	I (rel.)
29.03	3.076	100
29.18	3.061	100
31.83	2.811	77
34.42	2.605	92
34.68	2.587	78
38.52	2.337	61
38.79	2.322	61
51.04	1.789	58

Crystal structure
abc: 6.5886 6.5886 9.5992
angles: 109.81 109.81 89.61
Fractional positions:
Tl  0.0000  0.0000  0.0000
Sb  0.1268  0.5919  0.7236
Sb  0.4040  0.4040  0.2721
Sb  0.5919  0.1268  0.7236
Sb  0.8728  0.8728  0.2775
Pb  0.0597  0.0597  0.6509
Pb  0.4072  0.9382  0.3499
Pb  0.4983  0.9933  0.9984
Pb  0.5922  0.5922  0.6463
Pb  0.9382  0.4072  0.3499
Pb  0.9933  0.4983  0.9984


# 6
For Tl3Sb4Pb4, a GGA-PBE-relaxed structure gives the calculated powder diffractogram in this record (copper Kα).
Neutral-atom scattering factors, no anomalous dispersion.

Top 8 peaks for 2θ = 10–90°, in order of rising 2θ:
Position (°2θ)	d [Å]	I (rel.)
30.76	2.906	30
32.24	2.776	25
32.46	2.758	100
45.16	2.008	20
55.79	1.648	22
57.61	1.600	10
64.03	1.454	11
64.98	1.435	14

Crystal structure
abc: 17.5651 17.5651 17.5651
angles: 169.02 160.95 22.04
Fractional positions:
Tl  0.0000  0.0000  0.0000
Tl  0.3626  0.8626  0.5000
Tl  0.6374  0.1374  0.5000
Sb  0.1824  0.6824  0.5000
Sb  0.4563  0.4563  0.0000
Sb  0.5437  0.5437  0.0000
Sb  0.8176  0.3176  0.5000
Pb  0.0896  0.5896  0.5000
Pb  0.2711  0.2711  0.0000
Pb  0.7289  0.7289  0.0000
Pb  0.9104  0.4104  0.5000